Structure and calculated X-ray diffraction stick pattern of Sm2Cu9Ag (DFT lattice parameters and positions (PBE); Cu Kα (weighted mean of Kα1 and Kα2)).
Kinematic intensities with the Lorentz-polarization factor, no thermal factor.

Peak list (10 most intense, 2θ from 10° to 90°, most intense first)
41.43 deg, rel. 100, hkl 1 1 6; 34.96 deg, rel. 60, hkl 1 1 0; 35.34 deg, rel. 56, hkl 0 1 8; 40.75 deg, rel. 49, hkl 0 2 1; 32.34 deg, rel. 46, hkl 1 0 7; 44.68 deg, rel. 34, hkl 2 0 5; 73.84 deg, rel. 29, hkl 2 2 0; 45.15 deg, rel. 23, hkl 0 1 11; 67.11 deg, rel. 22, hkl 3 0 6; 62.94 deg, rel. 20, hkl 1 2 8

Cell and atoms:
```
data_Sm2Cu9Ag
_symmetry_space_group_name_H-M 'R -3 m'
_symmetry_Int_Tables_number 166
_symmetry_space_group_name_Hall '-R 3 2"'
_cell_length_a 5.1337
_cell_length_b 5.1337
_cell_length_c 24.7600
_cell_angle_alpha 90.00
_cell_angle_beta 90.00
_cell_angle_gamma 120.00
loop_
_atom_site_label
_atom_site_type_symbol
_atom_site_fract_x
_atom_site_fract_y
_atom_site_fract_z
Sm1 Sm 0.0000 0.0000 0.1339
Cu1 Cu 0.0000 0.0000 0.3329
Cu2 Cu 0.0000 0.0000 0.5000
Cu3 Cu 0.0014 0.5007 0.9197
Ag1 Ag 0.0000 0.0000 0.0000
```